Pr4InOs: computed powder diffraction line list (a wavelength of 1.5418 Å), based on a cell relaxed with PBE.
Kinematic intensities with the Lorentz-polarization factor, no thermal factor.

Crystal structure
```
data_Pr4InOs
_chemical_formula_sum 'Pr16 In4 Os4'
_cell_length_a 9.000
_cell_length_b 13.784
_cell_length_c 6.335
_cell_angle_alpha 90.00
_cell_angle_beta 108.35
_cell_angle_gamma 90.00
_symmetry_space_group_name_H-M 'C 1 2/c 1'
_symmetry_Int_Tables_number 15
loop_
_symmetry_equiv_pos_as_xyz
'x,y,z'
'-x,-y,-z'
'-x,y,-z+1/2'
'x,-y,z+1/2'
'x+1/2,y+1/2,z'
'-x+1/2,-y+1/2,-z'
'-x+1/2,y+1/2,-z+1/2'
'x+1/2,-y+1/2,z+1/2'
loop_
_atom_site_label
_atom_site_type_symbol
_atom_site_fract_x
_atom_site_fract_y
_atom_site_fract_z
Pr1 Pr 0.111 0.169 0.051
Pr2 Pr 0.220 0.425 0.385
In1 In 0.000 0.377 0.750
Os1 Os 0.000 0.000 0.250
```

Main lines, sorted by position (2θ from 5° to 70°):
- hkl 1 1 0, 2θ 12.2, intensity 70.8
- hkl 0 2 0, 2θ 12.8, intensity 52.1
- hkl 1 3 1, 2θ 28.4, intensity 29.4
- hkl 1 1 -2, 2θ 28.9, intensity 28.8
- hkl 3 1 -1, 2θ 30.9, intensity 65.7
- hkl 2 2 1, 2θ 32.0, intensity 100.0
- hkl 2 2 -2, 2θ 33.2, intensity 38.1
- hkl 2 4 -1, 2θ 33.8, intensity 25.8
- hkl 1 5 0, 2θ 34.2, intensity 46.8
- hkl 1 3 -2, 2θ 34.4, intensity 62.2
- hkl 3 3 0, 2θ 37.1, intensity 36.0
- hkl 2 6 0, 2θ 44.8, intensity 26.5

---

Ho6ErTh4: computed powder diffraction line list (a wavelength of 1.5418 Å), based on a cell relaxed with PBE.
Kinematic intensities with the Lorentz-polarization factor, no thermal factor.

Crystal structure
```
data_Ho6ErTh4
_chemical_formula_sum 'Ho12 Er2 Th8'
_cell_length_a 3.414
_cell_length_b 5.816
_cell_length_c 35.652
_cell_angle_alpha 90.00
_cell_angle_beta 90.00
_cell_angle_gamma 90.00
_symmetry_space_group_name_H-M 'I m m m'
_symmetry_Int_Tables_number 71
_symmetry_space_group_name_Hall '-I 2 2'
loop_
_atom_site_label
_atom_site_type_symbol
_atom_site_fract_x
_atom_site_fract_y
_atom_site_fract_z
Ho1 Ho 0.000 0.000 0.095
Ho2 Ho 0.000 0.000 0.267
Ho3 Ho 0.000 0.000 0.369
Er1 Er 0.000 0.500 0.500
Th1 Th 0.000 0.500 0.044
Th2 Th 0.000 0.500 0.318
```

Main lines, sorted by position (2θ from 5° to 70°):
- hkl 1 0 3, 2θ 27.2, intensity 25.7
- hkl 1 0 5, 2θ 29.0, intensity 17.6
- hkl 0 2 0, 2θ 30.8, intensity 65.9
- hkl 0 1 11, 2θ 31.6, intensity 100.0
- hkl 1 1 4, 2θ 32.0, intensity 15.3
- hkl 1 1 6, 2θ 34.0, intensity 38.8
- hkl 1 1 8, 2θ 36.6, intensity 38.2
- hkl 1 2 3, 2θ 41.5, intensity 17.0
- hkl 0 3 11, 2θ 55.2, intensity 19.9
- hkl 0 0 22, 2θ 56.8, intensity 21.2
- hkl 2 2 0, 2θ 63.2, intensity 14.2
- hkl 2 1 11, 2θ 63.7, intensity 26.1

---

Cs4Na3UF12: computed powder diffraction line list (a wavelength of 1.5418 Å), based on a cell relaxed with PBE.
Kinematic intensities with the Lorentz-polarization factor, no thermal factor.

Crystal structure
```
data_Cs4Na3UF12
_chemical_formula_sum 'Cs8 Na6 U2 F24'
_cell_length_a 9.250
_cell_length_b 9.250
_cell_length_c 9.250
_cell_angle_alpha 90.00
_cell_angle_beta 90.00
_cell_angle_gamma 90.00
_symmetry_space_group_name_H-M 'I m -3 m'
_symmetry_Int_Tables_number 229
_symmetry_space_group_name_Hall '-I 4 2 3'
loop_
_atom_site_label
_atom_site_type_symbol
_atom_site_fract_x
_atom_site_fract_y
_atom_site_fract_z
Cs1 Cs 0.250 0.250 0.250
Na1 Na 0.000 0.000 0.500
U1 U 0.000 0.000 0.000
F1 F 0.000 0.000 0.225
F2 F 0.000 0.250 0.500
```

Main lines, sorted by position (2θ from 5° to 70°):
- hkl 1 1 0, 2θ 13.5, intensity 41.1
- hkl 2 1 1, 2θ 23.6, intensity 24.0
- hkl 2 2 0, 2θ 27.3, intensity 100.0
- hkl 3 1 0, 2θ 30.6, intensity 9.7
- hkl 2 2 2, 2θ 33.6, intensity 14.4
- hkl 3 2 1, 2θ 36.3, intensity 12.7
- hkl 4 0 0, 2θ 38.9, intensity 38.3
- hkl 4 1 1, 2θ 41.4, intensity 6.9
- hkl 4 2 2, 2θ 48.2, intensity 41.8
- hkl 5 1 0, 2θ 50.3, intensity 8.6
- hkl 4 4 0, 2θ 56.3, intensity 24.4
- hkl 6 2 0, 2θ 63.6, intensity 19.6

---

Na3SrB5O10: computed powder diffraction line list (a wavelength of 1.5418 Å), based on a cell relaxed with PBE.
Kinematic intensities with the Lorentz-polarization factor, no thermal factor.

Crystal structure
```
data_Na3SrB5O10
_chemical_formula_sum 'Na6 Sr2 B10 O20'
_cell_length_a 7.342
_cell_length_b 7.694
_cell_length_c 9.828
_cell_angle_alpha 81.56
_cell_angle_beta 70.98
_cell_angle_gamma 62.01
_symmetry_space_group_name_H-M 'P -1'
_symmetry_Int_Tables_number 2
loop_
_symmetry_equiv_pos_as_xyz
'x,y,z'
'-x,-y,-z'
loop_
_atom_site_label
_atom_site_type_symbol
_atom_site_fract_x
_atom_site_fract_y
_atom_site_fract_z
Na1 Na 0.156 0.499 0.335
Na2 Na 0.208 0.281 0.952
Na3 Na 0.279 0.013 0.615
Sr1 Sr 0.216 0.947 0.276
B1 B 0.137 0.678 0.583
B2 B 0.162 0.750 0.048
B3 B 0.298 0.627 0.790
B4 B 0.382 0.340 0.638
B5 B 0.488 0.773 0.878
O1 O 0.016 0.796 0.500
O2 O 0.027 0.777 0.182
O3 O 0.156 0.653 0.941
O4 O 0.165 0.751 0.693
O5 O 0.231 0.471 0.565
O6 O 0.320 0.820 0.011
O7 O 0.342 0.193 0.144
O8 O 0.400 0.415 0.752
O9 O 0.467 0.686 0.772
O10 O 0.500 0.150 0.604
```

Main lines, sorted by position (2θ from 5° to 70°):
- hkl 1 1 0, 2θ 14.4, intensity 53.9
- hkl 1 1 1, 2θ 14.8, intensity 69.4
- hkl 1 -1 1, 2θ 23.6, intensity 76.9
- hkl -1 1 1, 2θ 26.9, intensity 60.4
- hkl 1 1 -2, 2θ 27.1, intensity 59.2
- hkl 0 2 -1, 2θ 27.9, intensity 100.0
- hkl 1 0 3, 2θ 28.2, intensity 55.4
- hkl 2 0 0, 2θ 28.8, intensity 69.5
- hkl 2 2 0, 2θ 29.0, intensity 47.8
- hkl 2 2 -1, 2θ 33.1, intensity 83.0
- hkl 1 2 3, 2θ 34.1, intensity 47.4
- hkl 3 0 3, 2θ 45.0, intensity 46.2